Starting from a PBE-relaxed structure, the powder XRD pattern of CaNd5Sm4 was calculated for Cu Kα (weighted mean of Kα1 and Kα2).
Peak positions follow from Bragg's law for the DFT cell and can differ from measured ones.

Peak list (12 most intense, 5 to 70 degrees two-theta, by intensity)
29.72°, d = 3.006 Å, intensity 100; 34.45°, d = 2.603 Å, intensity 50; 49.52°, d = 1.841 Å, intensity 35; 58.87°, d = 1.569 Å, intensity 29; 58.75°, d = 1.572 Å, intensity 13; 61.72°, d = 1.503 Å, intensity 12; 6.78°, d = 13.038 Å, intensity 6; 10.18°, d = 8.692 Å, intensity 3; 31.87°, d = 2.808 Å, intensity 3; 62.31°, d = 1.490 Å, intensity 2; 52.21°, d = 1.752 Å, intensity 2; 13.58°, d = 6.519 Å, intensity 1

Atomic structure:
Cell lengths 3.6781, 3.6781, 26.0768 Å; angles 90.00, 90.00, 90.00 degrees
Positions (direct):
Ca  0.0000  0.0000  0.0000
Nd  0.5000  0.5000  0.1079
Nd  0.5000  0.5000  0.3032
Nd  0.5000  0.5000  0.5000
Nd  0.5000  0.5000  0.6968
Nd  0.5000  0.5000  0.8921
Sm  0.0000  0.0000  0.2031
Sm  0.0000  0.0000  0.4012
Sm  0.0000  0.0000  0.5988
Sm  0.0000  0.0000  0.7969

Starting from a PBE-relaxed structure, the powder XRD pattern of CaNd4Sm7 was calculated for Cu Kα (weighted mean of Kα1 and Kα2).
Peak positions follow from Bragg's law for the DFT cell and can differ from measured ones.

Peak list (12 most intense, 5 to 70 degrees two-theta, by intensity)
31.06°, d = 2.880 Å, intensity 100; 32.69°, d = 2.740 Å, intensity 89; 30.14°, d = 2.965 Å, intensity 52; 49.45°, d = 1.843 Å, intensity 39; 28.15°, d = 3.169 Å, intensity 33; 28.76°, d = 3.105 Å, intensity 24; 59.03°, d = 1.565 Å, intensity 23; 59.55°, d = 1.552 Å, intensity 16; 58.94°, d = 1.567 Å, intensity 15; 56.18°, d = 1.637 Å, intensity 13; 60.59°, d = 1.528 Å, intensity 11; 36.69°, d = 2.449 Å, intensity 8

Atomic structure:
Cell lengths 6.3908, 7.3652, 9.1517 Å; angles 89.90, 76.43, 89.97 degrees
Positions (direct):
Ca  0.0000  0.0000  0.0000
Nd  0.2192  0.4997  0.3282
Nd  0.2840  0.2534  0.6647
Nd  0.7160  0.7466  0.3353
Nd  0.7808  0.5003  0.6718
Sm  0.0000  0.5000  0.0000
Sm  0.2245  0.0000  0.3397
Sm  0.2836  0.7469  0.6660
Sm  0.5005  0.2552  0.9997
Sm  0.4995  0.7448  0.0003
Sm  0.7164  0.2531  0.3340
Sm  0.7755  0.0000  0.6603

Starting from a PBE-relaxed structure, the powder XRD pattern of CaNd4Sm8 was calculated for Cu Kα (weighted mean of Kα1 and Kα2).
Peak positions follow from Bragg's law for the DFT cell and can differ from measured ones.

Peak list (12 most intense, 5 to 70 degrees two-theta, by intensity)
29.81°, d = 2.997 Å, intensity 100; 33.04°, d = 2.711 Å, intensity 63; 31.36°, d = 2.852 Å, intensity 37; 31.50°, d = 2.840 Å, intensity 22; 61.00°, d = 1.519 Å, intensity 19; 54.87°, d = 1.673 Å, intensity 17; 45.05°, d = 2.013 Å, intensity 16; 59.06°, d = 1.564 Å, intensity 16; 64.75°, d = 1.440 Å, intensity 14; 36.06°, d = 2.491 Å, intensity 14; 56.91°, d = 1.618 Å, intensity 13; 48.52°, d = 1.876 Å, intensity 12

Atomic structure:
Cell lengths 9.4237, 9.4237, 9.4237 Å; angles 95.26, 95.26, 144.76 degrees
Positions (direct):
Ca  0.0000  0.0000  0.0000
Nd  0.1852  0.2690  0.4542
Nd  0.2690  0.8148  0.0838
Nd  0.7310  0.1852  0.9162
Nd  0.8148  0.7310  0.5458
Sm  0.0576  0.6310  0.6886
Sm  0.3051  0.5271  0.8322
Sm  0.3690  0.0576  0.4265
Sm  0.4729  0.3051  0.7781
Sm  0.5271  0.6949  0.2219
Sm  0.6310  0.9424  0.5735
Sm  0.6949  0.4729  0.1678
Sm  0.9424  0.3690  0.3114

Starting from a PBE-relaxed structure, the powder XRD pattern of CaNd9Sm2 was calculated for Cu Kα (weighted mean of Kα1 and Kα2).
Peak positions follow from Bragg's law for the DFT cell and can differ from measured ones.

Peak list (12 most intense, 5 to 70 degrees two-theta, by intensity)
29.69°, d = 3.009 Å, intensity 100; 34.42°, d = 2.606 Å, intensity 51; 58.77°, d = 1.571 Å, intensity 43; 49.47°, d = 1.842 Å, intensity 36; 61.66°, d = 1.504 Å, intensity 12; 5.66°, d = 15.623 Å, intensity 5; 11.33°, d = 7.811 Å, intensity 2; 17.94°, d = 4.945 Å, intensity 1; 33.43°, d = 2.681 Å, intensity 1; 20.48°, d = 4.336 Å, intensity 1; 17.01°, d = 5.211 Å, intensity 1; 24.15°, d = 3.685 Å, intensity 1

Atomic structure:
Cell lengths 5.2129, 5.2129, 15.6230 Å; angles 90.00, 90.00, 90.00 degrees
Positions (direct):
Ca  0.0000  0.0000  0.0000
Nd  0.0000  0.5000  0.1717
Nd  0.0000  0.5000  0.5000
Nd  0.0000  0.5000  0.8283
Nd  0.5000  0.0000  0.1717
Nd  0.5000  0.0000  0.5000
Nd  0.5000  0.0000  0.8283
Nd  0.5000  0.5000  0.0000
Nd  0.5000  0.5000  0.3339
Nd  0.5000  0.5000  0.6661
Sm  0.0000  0.0000  0.3333
Sm  0.0000  0.0000  0.6667